Structure and simulated XRD peak list of Li12Mg3Si4 (a DFT-relaxed cell (GGA-PBE, Alexandria); λ = 1.5418 Å (Cu Kα)).
No peak broadening, texture or thermal motion is included.

Crystal structure
Unit cell a=10.685 b=10.685 c=10.685 alpha=90.00 beta=90.00 gamma=90.00
Space group I-43d (No. 220)
Symmetry-distinct sites (fractional):
Li (0.037, 0.381, 0.150) x48
Mg (0.000, 0.250, 0.375) x12
Si (0.047, 0.453, 0.547) x16

Principal peaks in the range 2θ = 10–90°, in order of falling intensity:
2theta	Rel. int.	h k l
20.36	100	2 1 1
39.56	95	3 3 2
43.17	75	5 1 0
31.32	35	3 2 1
23.55	30	2 2 0
41.40	28	4 2 2
76.73	27	8 3 1
69.23	24	6 5 1